The following is a calculated powder X-ray diffraction pattern of AcPt3F. It was derived from a crystal structure in OQMD, relaxed with GGA-PBE, using Cu Kα (λ = 1.5418 Å).

Structural model:
abc: 5.3183 5.3183 11.0167
angles: 90.00 90.00 120.00
Fractional coordinates of all 10 atoms:
1 Ac 0.0000 0.0000 0.1822
2 Ac 0.0000 0.0000 0.8178
3 Pt 0.0000 0.5000 0.3098
4 Pt 0.0000 0.5000 0.6902
5 Pt 0.5000 0.0000 0.3098
6 Pt 0.5000 0.0000 0.6902
7 Pt 0.5000 0.5000 0.3098
8 Pt 0.5000 0.5000 0.6902
9 F 0.3333 0.6667 0.5000
10 F 0.6667 0.3333 0.5000

Top 10 peaks for 2θ = 15–90°, by angle:
2θ (°)  d/Å  I/Imax
16.09  5.508  100.0
20.90  4.249  33.1
31.15  2.871  58.7
39.12  2.303  70.7
41.95  2.154  30.8
42.55  2.125  60.0
45.64  1.988  21.4
58.69  1.573  20.9
64.96  1.436  15.4
81.42  1.182  18.7



The following is a calculated powder X-ray diffraction pattern of AcGa6Ni. It was derived from a crystal structure in OQMD, relaxed with GGA-PBE, using Cu Kα (λ = 1.5418 Å).

Structural model:
abc: 4.3644 4.3644 8.0205
angles: 90.00 90.00 90.00
Fractional coordinates of all 8 atoms:
1 Ac 0.0000 0.0000 0.0000
2 Ga 0.0000 0.5000 0.3394
3 Ga 0.0000 0.5000 0.6606
4 Ga 0.5000 0.0000 0.3394
5 Ga 0.5000 0.0000 0.6606
6 Ga 0.5000 0.5000 0.1549
7 Ga 0.5000 0.5000 0.8451
8 Ni 0.0000 0.0000 0.5000

Top 10 peaks for 2θ = 15–90°, by angle:
2θ (°)  d/Å  I/Imax
30.27  2.953  79.4
31.05  2.880  100.0
36.75  2.446  53.0
39.53  2.280  30.1
41.38  2.182  77.9
50.06  1.822  26.3
52.12  1.755  34.9
59.95  1.543  25.6
66.90  1.399  21.8
69.05  1.360  20.4



The following is a calculated powder X-ray diffraction pattern of Ac2Ga7Pd. It was derived from a crystal structure in OQMD, relaxed with GGA-PBE, using Cu Kα (λ = 1.5418 Å).

Structural model:
abc: 4.5215 4.5215 10.4892
angles: 90.00 90.00 90.00
Fractional coordinates of all 10 atoms:
1 Ac 0.0000 0.5000 0.2459
2 Ac 0.5000 0.0000 0.7541
3 Ga 0.0000 0.0000 0.0000
4 Ga 0.0000 0.0000 0.5000
5 Ga 0.0000 0.5000 0.6326
6 Ga 0.0000 0.5000 0.8774
7 Ga 0.5000 0.0000 0.1226
8 Ga 0.5000 0.0000 0.3674
9 Ga 0.5000 0.5000 0.5000
10 Pd 0.5000 0.5000 0.0000

Top 10 peaks for 2θ = 15–90°, by angle:
2θ (°)  d/Å  I/Imax
21.40  4.152  24.6
27.91  3.197  20.4
32.37  2.766  69.3
32.81  2.730  100.0
39.88  2.261  54.9
47.80  1.903  25.3
52.26  1.750  36.4
57.66  1.599  18.5
63.95  1.456  21.2
67.95  1.379  24.5



The following is a calculated powder X-ray diffraction pattern of Ac2ZnGa7. It was derived from a crystal structure in OQMD, relaxed with GGA-PBE, using Cu Kα (λ = 1.5418 Å).

Structural model:
abc: 4.5584 4.5584 10.3889
angles: 90.00 90.00 90.00
Fractional coordinates of all 10 atoms:
1 Ac 0.0000 0.5000 0.2479
2 Ac 0.5000 0.0000 0.7521
3 Zn 0.5000 0.5000 0.0000
4 Ga 0.0000 0.0000 0.0000
5 Ga 0.0000 0.0000 0.5000
6 Ga 0.0000 0.5000 0.6287
7 Ga 0.0000 0.5000 0.8735
8 Ga 0.5000 0.0000 0.1265
9 Ga 0.5000 0.0000 0.3713
10 Ga 0.5000 0.5000 0.5000

Top 10 peaks for 2θ = 15–90°, by angle:
2θ (°)  d/Å  I/Imax
21.29  4.174  26.5
27.68  3.223  27.0
32.47  2.757  75.1
32.70  2.739  100.0
39.54  2.279  57.2
48.13  1.891  27.4
52.06  1.757  40.2
57.16  1.612  19.3
63.98  1.455  23.4
67.42  1.389  24.8



The following is a calculated powder X-ray diffraction pattern of AcGdPu. It was derived from a crystal structure in OQMD, relaxed with GGA-PBE, using Cu Kα (λ = 1.5418 Å).

Structural model:
abc: 7.7620 7.7620 7.7620
angles: 90.00 90.00 90.00
Fractional coordinates of all 12 atoms:
1 Ac 0.0000 0.0000 0.0000
2 Ac 0.0000 0.5000 0.5000
3 Ac 0.5000 0.0000 0.5000
4 Ac 0.5000 0.5000 0.0000
5 Gd 0.0000 0.0000 0.5000
6 Gd 0.0000 0.5000 0.0000
7 Gd 0.5000 0.0000 0.0000
8 Gd 0.5000 0.5000 0.5000
9 Pu 0.2500 0.2500 0.2500
10 Pu 0.2500 0.7500 0.7500
11 Pu 0.7500 0.2500 0.7500
12 Pu 0.7500 0.7500 0.2500

Top 10 peaks for 2θ = 15–90°, by angle:
2θ (°)  d/Å  I/Imax
19.81  4.481  35.5
32.63  2.744  100.0
38.47  2.340  20.6
46.82  1.940  18.7
51.31  1.781  9.2
58.23  1.584  39.5
62.14  1.494  7.0
68.37  1.372  12.3
71.97  1.312  6.9
77.83  1.227  17.3



The following is a calculated powder X-ray diffraction pattern of Ac3Ni4Ge4. It was derived from a crystal structure in OQMD, relaxed with GGA-PBE, using Cu Kα (λ = 1.5418 Å).

Structural model:
abc: 12.6535 12.6535 4.2944
angles: 99.72 99.72 19.92
Fractional coordinates of all 11 atoms:
1 Ac 0.0000 0.0000 0.0000
2 Ac 0.1513 0.1513 0.6517
3 Ac 0.8487 0.8487 0.3483
4 Ni 0.2486 0.2486 0.2486
5 Ni 0.3998 0.3998 0.9001
6 Ni 0.6002 0.6002 0.0999
7 Ni 0.7514 0.7514 0.7514
8 Ge 0.2982 0.2982 0.7979
9 Ge 0.4462 0.4462 0.4464
10 Ge 0.5538 0.5538 0.5536
11 Ge 0.7018 0.7018 0.2021

Top 10 peaks for 2θ = 15–90°, by angle:
2θ (°)  d/Å  I/Imax
23.39  3.803  17.6
30.05  2.974  22.9
32.68  2.741  100.0
39.11  2.303  21.0
41.25  2.189  19.5
42.08  2.147  18.4
54.30  1.689  19.0
58.15  1.586  13.2
60.39  1.533  12.6
68.35  1.372  11.4